No. 1
SmDyIn4: simulated XRD peak list (Cu Kα (weighted mean of Kα1 and Kα2)), based on a GGA-PBE-relaxed structure.
Neutral-atom scattering factors, no anomalous dispersion.

Top 12 peaks for 2θ from 10° to 90°, low angle first:
2θ (°)	d/Å	intensity
31.5	2.838	2
33.1	2.705	100
37.7	2.384	16
38.6	2.332	17
39.0	2.312	16
55.1	1.667	11
55.3	1.660	10
56.0	1.642	11
65.2	1.431	11
66.4	1.408	13
66.9	1.399	13
69.5	1.352	11

Structure:
a = 4.665 Å, b = 4.625 Å, c = 14.305 Å
α = 90.00°, β = 90.00°, γ = 90.00°
Fractional coordinates of all 12 atoms:
Sm1 0.000 0.000 0.000
Sm2 0.000 0.500 0.500
Dy1 0.000 0.000 0.309
Dy2 0.000 0.500 0.809
In1 0.000 0.000 0.656
In2 0.000 0.500 0.156
In3 0.500 0.000 0.156
In4 0.500 0.000 0.479
In5 0.500 0.000 0.829
In6 0.500 0.500 0.329
In7 0.500 0.500 0.656
In8 0.500 0.500 0.979


No. 2
Al28Re: simulated XRD peak list (Cu Kα (weighted mean of Kα1 and Kα2)), based on a GGA-PBE-relaxed structure.
Neutral-atom scattering factors, no anomalous dispersion.

Top 12 peaks for 2θ from 10° to 90°, low angle first:
2θ (°)	d/Å	intensity
12.7	6.980	64
18.0	4.936	15
22.1	4.030	28
28.6	3.122	18
34.0	2.638	35
38.7	2.327	100
43.0	2.105	25
45.0	2.015	19
46.9	1.936	15
67.0	1.396	22
70.0	1.343	25
84.4	1.148	17

Structure:
a = 8.549 Å, b = 8.549 Å, c = 8.549 Å
α = 109.47°, β = 109.47°, γ = 109.47°
Fractional coordinates of all 29 atoms:
Al1 0.000 0.000 0.676
Al2 0.000 0.190 0.376
Al3 0.000 0.376 0.190
Al4 0.000 0.415 0.693
Al5 0.000 0.676 0.000
Al6 0.000 0.693 0.415
Al7 0.186 0.810 0.810
Al8 0.190 0.000 0.376
Al9 0.190 0.376 0.000
Al10 0.278 0.585 0.585
Al11 0.307 0.307 0.722
Al12 0.307 0.722 0.307
Al13 0.324 0.324 0.324
Al14 0.376 0.000 0.190
Al15 0.376 0.190 0.000
Al16 0.415 0.000 0.693
Al17 0.415 0.693 0.000
Al18 0.585 0.278 0.585
Al19 0.585 0.585 0.278
Al20 0.624 0.624 0.814
Al21 0.624 0.814 0.624
Al22 0.676 0.000 0.000
Al23 0.693 0.000 0.415
Al24 0.693 0.415 0.000
Al25 0.722 0.307 0.307
Al26 0.810 0.186 0.810
Al27 0.810 0.810 0.186
Al28 0.814 0.624 0.624
Re1 0.000 0.000 0.000


No. 3
CdBiPO: simulated XRD peak list (Cu Kα (weighted mean of Kα1 and Kα2)), based on a GGA-PBE-relaxed structure.
Neutral-atom scattering factors, no anomalous dispersion.

Top 12 peaks for 2θ from 10° to 90°, low angle first:
2θ (°)	d/Å	intensity
18.3	4.845	19
26.4	3.377	97
27.9	3.197	100
28.3	3.149	52
30.0	2.976	68
30.3	2.946	22
33.1	2.708	19
39.1	2.303	44
46.1	1.969	42
48.0	1.896	18
51.2	1.783	20
56.4	1.631	24

Structure:
a = 6.298 Å, b = 7.423 Å, c = 7.585 Å
α = 90.00°, β = 90.00°, γ = 90.00°
Fractional coordinates of all 16 atoms:
Cd1 0.025 0.159 0.378
Cd2 0.475 0.841 0.878
Cd3 0.525 0.341 0.622
Cd4 0.975 0.659 0.122
Bi1 0.049 0.593 0.646
Bi2 0.451 0.407 0.146
Bi3 0.549 0.907 0.354
Bi4 0.951 0.093 0.854
P1 0.136 0.828 0.381
P2 0.364 0.172 0.881
P3 0.636 0.672 0.619
P4 0.864 0.328 0.119
O1 0.120 0.760 0.872
O2 0.380 0.240 0.372
O3 0.620 0.740 0.128
O4 0.880 0.260 0.628


No. 4
SrSiAg2SeS3: simulated XRD peak list (Cu Kα (weighted mean of Kα1 and Kα2)), based on a GGA-PBE-relaxed structure.
Neutral-atom scattering factors, no anomalous dispersion.

Top 12 peaks for 2θ from 10° to 90°, low angle first:
2θ (°)	d/Å	intensity
17.2	5.159	38
18.0	4.936	23
25.4	3.505	36
26.0	3.424	34
29.1	3.073	48
29.5	3.031	100
29.5	3.026	62
30.9	2.890	51
36.4	2.468	48
36.9	2.433	85
37.2	2.414	27
48.1	1.891	24

Structure:
a = 6.209 Å, b = 6.229 Å, c = 6.231 Å
α = 111.50°, β = 102.87°, γ = 113.19°
Fractional coordinates of all 8 atoms:
Sr1 0.000 0.000 0.000
Si1 0.486 0.987 0.483
Ag1 0.209 0.501 0.694
Ag2 0.795 0.498 0.310
Se1 0.841 0.373 0.842
S1 0.150 0.990 0.512
S2 0.477 0.635 0.472
S3 0.517 0.997 0.152


Repeat the fourth record exactly.
SrSiAg2SeS3: simulated XRD peak list (Cu Kα (weighted mean of Kα1 and Kα2)), based on a GGA-PBE-relaxed structure.
Neutral-atom scattering factors, no anomalous dispersion.

Top 12 peaks for 2θ from 10° to 90°, low angle first:
2θ (°)	d/Å	intensity
17.2	5.159	38
18.0	4.936	23
25.4	3.505	36
26.0	3.424	34
29.1	3.073	48
29.5	3.031	100
29.5	3.026	62
30.9	2.890	51
36.4	2.468	48
36.9	2.433	85
37.2	2.414	27
48.1	1.891	24

Structure:
a = 6.209 Å, b = 6.229 Å, c = 6.231 Å
α = 111.50°, β = 102.87°, γ = 113.19°
Fractional coordinates of all 8 atoms:
Sr1 0.000 0.000 0.000
Si1 0.486 0.987 0.483
Ag1 0.209 0.501 0.694
Ag2 0.795 0.498 0.310
Se1 0.841 0.373 0.842
S1 0.150 0.990 0.512
S2 0.477 0.635 0.472
S3 0.517 0.997 0.152


Q: What is the formula in the fourth record?
A: SrSiAg2SeS3